No. 1
Computed X-ray powder pattern of LaNiP for Cu Kα (λ = 1.5418 Å), from a crystal structure in the Materials Project, relaxed with GGA-PBE.
Peak positions follow from Bragg's law for the DFT cell and can differ from measured ones.

Cell and atoms:
Lattice parameters (Å, degrees): 4.0506 4.0506 16.1260 90.00 90.00 120.00
Element x y z (fractional)
1 La 0.0000 0.0000 0.0000
2 La 0.0000 0.0000 0.2500
3 La 0.0000 0.0000 0.5000
4 La 0.0000 0.0000 0.7500
5 Ni 0.3333 0.6667 0.1249
6 Ni 0.3333 0.6667 0.3751
7 Ni 0.6667 0.3333 0.6249
8 Ni 0.6667 0.3333 0.8751
9 P 0.3333 0.6667 0.6234
10 P 0.3333 0.6667 0.8766
11 P 0.6667 0.3333 0.1234
12 P 0.6667 0.3333 0.3766

The 10 most intense peaks (10° ≤ 2θ ≤ 80°), low angle first:
- d 3.508, I = 24
- d 2.646, I = 100
- d 2.025, I = 36
- d 2.016, I = 12
- d 1.754, I = 3
- d 1.748, I = 7
- d 1.608, I = 21
- d 1.429, I = 22
- d 1.260, I = 19
- d 1.255, I = 9

---

No. 2
Computed X-ray powder pattern of LaNi5P3 for Cu Kα (λ = 1.5418 Å), from a crystal structure in the Materials Project, relaxed with GGA-PBE.
Peak positions follow from Bragg's law for the DFT cell and can differ from measured ones.

Cell and atoms:
Lattice parameters (Å, degrees): 6.1234 6.1234 11.5033 90.00 90.00 145.49
Element x y z (fractional)
1 La 0.1619 0.8381 0.7500
2 La 0.8381 0.1619 0.2500
3 Ni 0.0000 0.0000 0.0000
4 Ni 0.0000 0.0000 0.5000
5 Ni 0.1988 0.8012 0.0685
6 Ni 0.1988 0.8012 0.4315
7 Ni 0.4487 0.5513 0.6454
8 Ni 0.4487 0.5513 0.8546
9 Ni 0.5513 0.4487 0.1454
10 Ni 0.5513 0.4487 0.3546
11 Ni 0.8012 0.1988 0.5685
12 Ni 0.8012 0.1988 0.9315
13 P 0.1168 0.8832 0.2500
14 P 0.3822 0.6178 0.0389
15 P 0.3822 0.6178 0.4611
16 P 0.6178 0.3822 0.5389
17 P 0.6178 0.3822 0.9611
18 P 0.8832 0.1168 0.7500

The 10 most intense peaks (10° ≤ 2θ ≤ 80°), low angle first:
- d 3.207, I = 43
- d 2.834, I = 33
- d 2.658, I = 58
- d 2.573, I = 100
- d 2.413, I = 65
- d 2.325, I = 27
- d 2.214, I = 70
- d 1.967, I = 33
- d 1.816, I = 51
- d 1.555, I = 27

---

No. 3
Computed X-ray powder pattern of La2Ni12P5 for Cu Kα (λ = 1.5418 Å), from a crystal structure in the Materials Project, relaxed with GGA-PBE.
Peak positions follow from Bragg's law for the DFT cell and can differ from measured ones.

Cell and atoms:
Lattice parameters (Å, degrees): 10.9263 3.6875 13.1522 90.00 107.84 90.00
Element x y z (fractional)
1 La 0.2211 0.2500 0.1833
2 La 0.2526 0.2500 0.6880
3 La 0.7474 0.7500 0.3120
4 La 0.7789 0.7500 0.8167
5 Ni 0.0606 0.7500 0.2964
6 Ni 0.0784 0.7500 0.9903
7 Ni 0.0809 0.7500 0.4903
8 Ni 0.0945 0.7500 0.8050
9 Ni 0.2014 0.2500 0.4185
10 Ni 0.2133 0.2500 0.9381
11 Ni 0.3433 0.7500 0.0615
12 Ni 0.3441 0.7500 0.3648
13 Ni 0.4279 0.2500 0.5145
14 Ni 0.4343 0.2500 0.9483
15 Ni 0.4892 0.7500 0.6508
16 Ni 0.4937 0.7500 0.8410
17 Ni 0.5063 0.2500 0.1590
18 Ni 0.5108 0.2500 0.3492
19 Ni 0.5657 0.7500 0.0517
20 Ni 0.5721 0.7500 0.4855
21 Ni 0.6559 0.2500 0.6352
22 Ni 0.6567 0.2500 0.9385
23 Ni 0.7867 0.7500 0.0619
24 Ni 0.7986 0.7500 0.5815
25 Ni 0.9055 0.2500 0.1950
26 Ni 0.9191 0.2500 0.5097
27 Ni 0.9216 0.2500 0.0097
28 Ni 0.9394 0.2500 0.7036
29 P 0.0074 0.7500 0.6286
30 P 0.0081 0.2500 0.8788
31 P 0.3001 0.7500 0.5161
32 P 0.3113 0.7500 0.8880
33 P 0.4517 0.7500 0.2406
34 P 0.5483 0.2500 0.7594
35 P 0.6887 0.2500 0.1120
36 P 0.6999 0.2500 0.4839
37 P 0.9919 0.7500 0.1212
38 P 0.9926 0.2500 0.3714

The 10 most intense peaks (10° ≤ 2θ ≤ 80°), low angle first:
- d 2.786, I = 28
- d 2.772, I = 32
- d 2.591, I = 22
- d 2.544, I = 33
- d 2.526, I = 81
- d 2.391, I = 99
- d 2.386, I = 100
- d 2.179, I = 24
- d 2.125, I = 79
- d 1.844, I = 86

---

Repeat the second record exactly.
Computed X-ray powder pattern of LaNi5P3 for Cu Kα (λ = 1.5418 Å), from a crystal structure in the Materials Project, relaxed with GGA-PBE.
Peak positions follow from Bragg's law for the DFT cell and can differ from measured ones.

Cell and atoms:
Lattice parameters (Å, degrees): 6.1234 6.1234 11.5033 90.00 90.00 145.49
Element x y z (fractional)
1 La 0.1619 0.8381 0.7500
2 La 0.8381 0.1619 0.2500
3 Ni 0.0000 0.0000 0.0000
4 Ni 0.0000 0.0000 0.5000
5 Ni 0.1988 0.8012 0.0685
6 Ni 0.1988 0.8012 0.4315
7 Ni 0.4487 0.5513 0.6454
8 Ni 0.4487 0.5513 0.8546
9 Ni 0.5513 0.4487 0.1454
10 Ni 0.5513 0.4487 0.3546
11 Ni 0.8012 0.1988 0.5685
12 Ni 0.8012 0.1988 0.9315
13 P 0.1168 0.8832 0.2500
14 P 0.3822 0.6178 0.0389
15 P 0.3822 0.6178 0.4611
16 P 0.6178 0.3822 0.5389
17 P 0.6178 0.3822 0.9611
18 P 0.8832 0.1168 0.7500

The 10 most intense peaks (10° ≤ 2θ ≤ 80°), low angle first:
- d 3.207, I = 43
- d 2.834, I = 33
- d 2.658, I = 58
- d 2.573, I = 100
- d 2.413, I = 65
- d 2.325, I = 27
- d 2.214, I = 70
- d 1.967, I = 33
- d 1.816, I = 51
- d 1.555, I = 27

---

Which formula does entry 3 have?
La2Ni12P5